Simulated X-ray diffraction stick pattern of Zr3Cu4Sn4 for Cu Ka, from a GGA-PBE-relaxed structure.
No peak broadening, texture or thermal motion is included.

Structure:
```
data_Zr3Cu4Sn4
_cell_length_a 6.4596
_cell_length_b 4.3834
_cell_length_c 7.7195
_cell_angle_alpha 90.00
_cell_angle_beta 90.63
_cell_angle_gamma 90.00
_space_group_name_H-M_alt 'P 1 m 1'
_space_group_IT_number 6
_space_group_name_Hall 'P -2y'
loop_
_atom_site_label
_atom_site_fract_x
_atom_site_fract_y
_atom_site_fract_z
Zr1 0.0000 0.0000 0.0000
Zr2 0.0077 0.5000 0.4639
Zr3 0.5055 0.0000 0.9766
Cu1 0.1971 0.5000 0.8145
Cu2 0.2749 0.0000 0.3162
Cu3 0.7403 0.5000 0.1463
Cu4 0.8239 0.0000 0.6484
Sn1 0.2736 0.0000 0.6433
Sn2 0.2761 0.5000 0.1498
Sn3 0.7115 0.0000 0.3285
Sn4 0.7475 0.5000 0.8023
```

Principal peaks in the range 15 to 90 degrees two-theta, by angle:
two_theta, Rel. int.
27.23, 24
36.36, 83
36.51, 67
40.66, 100
41.19, 50
56.17, 23